(1)
# NaLaTcN3
Calculated powder X-ray diffraction pattern, a wavelength of 1.5418 Å. Input: a PBE-relaxed structure.
Kinematic intensities with the Lorentz-polarization factor, no thermal factor.

Peak list (10 most intense, 5° ≤ 2θ ≤ 70°, by angle)
2θ (°)	I/Imax
14.91	78
29.84	92
30.08	79
31.00	100
35.87	81
37.76	50
45.81	40
46.19	36
50.61	35
64.64	34

Structure:
```
NaLaTcN3
1.0
-1.965 3.359 6.370
1.965 -3.359 6.370
1.965 3.359 -6.370
Na La Tc N
2 2 2 6
Direct
0.111 0.111 0.000 Na
0.889 0.889 0.000 Na
0.314 0.814 0.500 La
0.686 0.186 0.500 La
0.306 0.500 0.806 Tc
0.694 0.500 0.194 Tc
0.090 0.352 0.738 N
0.305 0.000 0.305 N
0.385 0.648 0.738 N
0.615 0.352 0.262 N
0.695 0.000 0.695 N
0.910 0.648 0.262 N
```

---

(2)
# NaLaWN3
Calculated powder X-ray diffraction pattern, a wavelength of 1.5418 Å. Input: a PBE-relaxed structure.
Kinematic intensities with the Lorentz-polarization factor, no thermal factor.

Peak list (10 most intense, 5° ≤ 2θ ≤ 70°, by angle)
2θ (°)	I/Imax
13.77	24
14.65	38
29.53	100
30.71	66
35.32	61
37.35	22
44.98	22
45.79	35
49.95	27
63.99	36

Structure:
```
NaLaWN3
1.0
-1.983 3.426 6.429
1.983 -3.426 6.429
1.983 3.426 -6.429
Na La W N
2 2 2 6
Direct
0.113 0.113 0.000 Na
0.887 0.887 0.000 Na
0.311 0.811 0.500 La
0.689 0.189 0.500 La
0.296 0.500 0.796 W
0.704 0.500 0.204 W
0.082 0.352 0.729 N
0.313 0.000 0.313 N
0.377 0.648 0.729 N
0.623 0.352 0.271 N
0.687 0.000 0.687 N
0.918 0.648 0.271 N
```

---

(3)
# NaLa2WN4
Calculated powder X-ray diffraction pattern, a wavelength of 1.5418 Å. Input: a PBE-relaxed structure.
Kinematic intensities with the Lorentz-polarization factor, no thermal factor.

Peak list (10 most intense, 5° ≤ 2θ ≤ 70°, by angle)
2θ (°)	I/Imax
19.27	97
30.14	90
30.50	100
32.34	19
34.37	91
36.69	42
49.87	18
51.15	53
58.75	18
59.38	29

Structure:
```
NaLa2WN4
1.0
0.000 4.899 3.724
3.657 0.000 3.724
3.657 4.899 0.000
Na La W N
1 2 1 4
Direct
0.000 0.000 0.000 Na
0.248 0.248 0.252 La
0.748 0.748 0.752 La
0.562 0.562 0.438 W
0.286 0.670 0.330 N
0.505 0.916 0.495 N
0.670 0.286 0.714 N
0.916 0.505 0.084 N
```

---

(4)
# La3Nb2N6
Calculated powder X-ray diffraction pattern, a wavelength of 1.5418 Å. Input: a PBE-relaxed structure.
Kinematic intensities with the Lorentz-polarization factor, no thermal factor.

Peak list (10 most intense, 5° ≤ 2θ ≤ 70°, by angle)
2θ (°)	I/Imax
30.81	62
31.10	100
38.19	8
41.11	14
44.13	32
45.00	7
54.96	45
55.53	12
64.15	13
64.85	10

Structure:
```
La3Nb2N6
1.0
-2.052 2.052 10.073
2.052 -2.052 10.073
2.052 2.052 -10.073
La Nb N
3 2 6
Direct
0.000 0.000 0.000 La
0.180 0.180 0.000 La
0.820 0.820 0.000 La
0.399 0.399 0.000 Nb
0.601 0.601 0.000 Nb
0.084 0.584 0.500 N
0.301 0.301 0.000 N
0.416 0.916 0.500 N
0.584 0.084 0.500 N
0.699 0.699 0.000 N
0.916 0.416 0.500 N
```

---

(5)
# La3NbN4
Calculated powder X-ray diffraction pattern, a wavelength of 1.5418 Å. Input: a PBE-relaxed structure.
Kinematic intensities with the Lorentz-polarization factor, no thermal factor.

Peak list (10 most intense, 5° ≤ 2θ ≤ 70°, by angle)
2θ (°)	I/Imax
25.07	17
25.57	48
30.02	60
30.44	100
32.83	41
42.07	22
44.47	35
55.36	23
56.37	31
57.13	32

Structure:
```
La3NbN4
1.0
7.996 0.000 0.000
0.000 7.103 0.000
0.000 0.000 5.456
La Nb N
6 2 8
Direct
0.000 0.156 0.000 La
0.248 0.340 0.504 La
0.252 0.660 0.004 La
0.500 0.844 0.500 La
0.748 0.660 0.004 La
0.752 0.340 0.504 La
0.000 0.830 0.456 Nb
0.500 0.170 0.956 Nb
0.000 0.113 0.509 N
0.000 0.831 0.096 N
0.218 0.695 0.507 N
0.282 0.305 0.007 N
0.500 0.169 0.596 N
0.500 0.887 0.009 N
0.718 0.305 0.007 N
0.782 0.695 0.507 N
```

---

(6)
# La5NbN6
Calculated powder X-ray diffraction pattern, a wavelength of 1.5418 Å. Input: a PBE-relaxed structure.
Kinematic intensities with the Lorentz-polarization factor, no thermal factor.

Peak list (10 most intense, 5° ≤ 2θ ≤ 70°, by angle)
2θ (°)	I/Imax
30.26	100
30.48	33
35.09	66
35.24	33
50.40	34
50.75	22
59.91	21
60.02	15
60.22	20
62.93	17

Structure:
```
La5NbN6
1.0
3.134 -5.436 0.000
3.134 5.436 0.000
-2.062 0.000 5.865
La Nb N
5 1 6
Direct
0.000 0.000 0.000 La
0.167 0.833 0.500 La
0.338 0.662 0.000 La
0.662 0.338 0.000 La
0.833 0.167 0.500 La
0.500 0.500 0.500 Nb
0.136 0.425 0.280 N
0.282 0.282 0.732 N
0.425 0.136 0.280 N
0.575 0.864 0.720 N
0.718 0.718 0.268 N
0.864 0.575 0.720 N
```

---

(7)
# La2Nb2N5
Calculated powder X-ray diffraction pattern, a wavelength of 1.5418 Å. Input: a PBE-relaxed structure.
Kinematic intensities with the Lorentz-polarization factor, no thermal factor.

Peak list (10 most intense, 5° ≤ 2θ ≤ 70°, by angle)
2θ (°)	I/Imax
29.63	100
31.13	51
32.11	64
33.47	33
42.06	30
47.43	18
52.88	17
53.24	22
54.79	15
61.51	15

Structure:
```
La2Nb2N5
1.0
5.762 -2.148 0.000
5.762 2.148 0.000
-2.144 0.000 5.397
La Nb N
2 2 5
Direct
0.105 0.105 0.330 La
0.895 0.895 0.670 La
0.343 0.343 0.113 Nb
0.657 0.657 0.887 Nb
0.151 0.151 0.907 N
0.338 0.338 0.438 N
0.500 0.500 0.000 N
0.662 0.662 0.562 N
0.849 0.849 0.093 N
```

---

(8)
# LaNd3N3
Calculated powder X-ray diffraction pattern, a wavelength of 1.5418 Å. Input: a PBE-relaxed structure.
Kinematic intensities with the Lorentz-polarization factor, no thermal factor.

Peak list (10 most intense, 5° ≤ 2θ ≤ 70°, by angle)
2θ (°)	I/Imax
24.49	37
29.79	100
33.79	22
42.17	17
43.10	32
50.19	5
53.27	20
55.86	29
58.00	16
61.88	5

Structure:
```
LaNd3N3
1.0
8.395 0.000 0.000
-4.198 7.271 0.000
0.000 0.000 5.305
La Nd N
2 6 6
Direct
0.333 0.667 0.250 La
0.667 0.333 0.750 La
0.163 0.327 0.750 Nd
0.163 0.837 0.750 Nd
0.327 0.163 0.250 Nd
0.673 0.837 0.750 Nd
0.837 0.163 0.250 Nd
0.837 0.673 0.250 Nd
0.164 0.327 0.250 N
0.164 0.836 0.250 N
0.327 0.164 0.750 N
0.673 0.836 0.250 N
0.836 0.164 0.750 N
0.836 0.673 0.750 N
```

---

(9)
# La3NdN2
Calculated powder X-ray diffraction pattern, a wavelength of 1.5418 Å. Input: a PBE-relaxed structure.
Kinematic intensities with the Lorentz-polarization factor, no thermal factor.

Peak list (10 most intense, 5° ≤ 2θ ≤ 70°, by angle)
2θ (°)	I/Imax
28.90	24
29.11	59
31.60	100
31.74	30
35.69	18
49.64	22
53.26	27
58.33	19
58.60	21
60.23	13

Structure:
```
La3NdN2
1.0
6.350 0.000 0.000
0.000 12.256 0.000
0.000 0.000 3.693
La Nd N
6 2 4
Direct
0.000 0.000 0.000 La
0.145 0.265 0.500 La
0.355 0.765 0.000 La
0.500 0.500 0.500 La
0.645 0.235 0.000 La
0.855 0.735 0.500 La
0.000 0.500 0.000 Nd
0.500 0.000 0.500 Nd
0.174 0.871 0.500 N
0.326 0.371 0.000 N
0.674 0.629 0.000 N
0.826 0.129 0.500 N
```

---

(10)
# La2NdN
Calculated powder X-ray diffraction pattern, a wavelength of 1.5418 Å. Input: a PBE-relaxed structure.
Kinematic intensities with the Lorentz-polarization factor, no thermal factor.

Peak list (10 most intense, 5° ≤ 2θ ≤ 70°, by angle)
2θ (°)	I/Imax
27.47	59
28.30	37
30.72	100
32.07	77
32.17	36
42.09	23
49.78	49
52.42	25
57.69	15
60.47	18

Structure:
```
La2NdN
1.0
6.343 0.000 0.000
0.000 3.664 0.000
-2.159 0.000 9.740
La Nd N
4 2 2
Direct
0.032 0.250 0.350 La
0.275 0.250 0.012 La
0.725 0.750 0.988 La
0.968 0.750 0.650 La
0.464 0.250 0.642 Nd
0.536 0.750 0.358 Nd
0.250 0.750 0.498 N
0.750 0.250 0.502 N
```

---

(11)
# LaNd3N3
Calculated powder X-ray diffraction pattern, a wavelength of 1.5418 Å. Input: a PBE-relaxed structure.
Kinematic intensities with the Lorentz-polarization factor, no thermal factor.

Peak list (5 most intense, 5° ≤ 2θ ≤ 70°, by angle)
2θ (°)	I/Imax
29.74	100
34.48	68
49.56	48
58.88	45
61.77	16

Structure:
```
LaNd3N3
1.0
5.202 0.000 0.000
0.000 5.202 0.000
0.000 0.000 5.202
La Nd N
1 3 3
Direct
0.000 0.000 0.000 La
0.000 0.500 0.500 Nd
0.500 0.000 0.500 Nd
0.500 0.500 0.000 Nd
0.000 0.000 0.500 N
0.000 0.500 0.000 N
0.500 0.000 0.000 N
```

---

(12)
# LaNd4N5
Calculated powder X-ray diffraction pattern, a wavelength of 1.5418 Å. Input: a PBE-relaxed structure.
Kinematic intensities with the Lorentz-polarization factor, no thermal factor.

Peak list (8 most intense, 5° ≤ 2θ ≤ 70°, by angle)
2θ (°)	I/Imax
29.77	100
34.14	26
34.69	49
49.47	35
49.87	17
58.45	16
59.17	30
61.83	18

Structure:
```
LaNd4N5
1.0
-4.089 4.089 2.626
4.089 -4.089 2.626
4.089 4.089 -2.626
La Nd N
1 4 5
Direct
0.000 0.000 0.000 La
0.200 0.601 0.799 Nd
0.402 0.200 0.600 Nd
0.601 0.802 0.400 Nd
0.802 0.402 0.201 Nd
0.074 0.276 0.404 N
0.276 0.872 0.202 N
0.481 0.481 0.000 N
0.670 0.074 0.798 N
0.872 0.670 0.596 N
```